Structure and simulated X-ray powder pattern of BaSmMn4O12 (DFT lattice parameters and positions (GGA+U); Cu Kα X-rays).
Peak positions follow from Bragg's law for the DFT cell and can differ from measured ones.

Structural model:
a = 5.4237 Å, b = 5.4237 Å, c = 7.6445 Å
α = 90.00°, β = 90.00°, γ = 90.00°
Fractional positions:
Ba 0.0000 0.0000 0.0000
Sm 0.5000 0.5000 0.5000
Mn 0.0000 0.5000 0.2489
Mn 0.0000 0.5000 0.7511
Mn 0.5000 0.0000 0.2489
Mn 0.5000 0.0000 0.7511
O 0.0000 0.5000 0.0000
O 0.0000 0.5000 0.5000
O 0.2613 0.2613 0.2705
O 0.2613 0.2613 0.7295
O 0.2613 0.7387 0.2705
O 0.2613 0.7387 0.7295
O 0.5000 0.0000 0.0000
O 0.5000 0.0000 0.5000
O 0.7387 0.2613 0.2705
O 0.7387 0.2613 0.7295
O 0.7387 0.7387 0.2705
O 0.7387 0.7387 0.7295

Peak list (10 most intense, 10 to 90 degrees two-theta, by angle)
20.07°, d = 4.423 Å, I = 96; 33.07°, d = 2.709 Å, I = 100; 38.99°, d = 2.310 Å, I = 51; 47.41°, d = 1.918 Å, I = 29; 47.58°, d = 1.911 Å, I = 14; 52.03°, d = 1.758 Å, I = 23; 59.03°, d = 1.565 Å, I = 25; 59.14°, d = 1.562 Å, I = 13; 63.00°, d = 1.475 Å, I = 13; 69.43°, d = 1.354 Å, I = 15

---

Structure and simulated X-ray powder pattern of Y2WO6 (DFT lattice parameters and positions (GGA+U); Cu Kα X-rays).
Peak positions follow from Bragg's law for the DFT cell and can differ from measured ones.

Structural model:
a = 5.2946 Å, b = 9.1760 Å, c = 10.0253 Å
α = 90.00°, β = 90.00°, γ = 90.00°
Fractional positions:
Y 0.0190 0.1033 0.4649
Y 0.0387 0.2190 0.8704
Y 0.4613 0.7810 0.3704
Y 0.4810 0.8967 0.9649
Y 0.5190 0.3967 0.5351
Y 0.5387 0.2810 0.1296
Y 0.9613 0.7190 0.6296
Y 0.9810 0.6033 0.0351
W 0.0390 0.4955 0.3484
W 0.4610 0.5045 0.8484
W 0.5390 0.0045 0.6516
W 0.9610 0.9955 0.1516
O 0.0867 0.8431 0.0311
O 0.1741 0.9523 0.2984
O 0.1810 0.6376 0.8190
O 0.1921 0.6406 0.2362
O 0.2317 0.1150 0.0683
O 0.2469 0.5886 0.4943
O 0.2531 0.4114 0.9943
O 0.2683 0.8850 0.5683
O 0.3079 0.3594 0.7362
O 0.3190 0.3624 0.3190
O 0.3259 0.0477 0.7984
O 0.4133 0.1569 0.5311
O 0.5867 0.6569 0.9689
O 0.6741 0.5477 0.7016
O 0.6810 0.8624 0.1810
O 0.6921 0.8594 0.7638
O 0.7317 0.3850 0.9317
O 0.7469 0.9114 0.5057
O 0.7531 0.0886 0.0057
O 0.7683 0.6150 0.4317
O 0.8079 0.1406 0.2638
O 0.8190 0.1376 0.6810
O 0.8259 0.4523 0.2016
O 0.9133 0.3431 0.4689

Peak list (10 most intense, 10 to 90 degrees two-theta, by angle)
18.96°, d = 4.682 Å, I = 31; 19.35°, d = 4.588 Å, I = 24; 20.19°, d = 4.399 Å, I = 40; 26.34°, d = 3.384 Å, I = 34; 27.21°, d = 3.277 Å, I = 100; 33.17°, d = 2.701 Å, I = 64; 33.86°, d = 2.647 Å, I = 24; 34.35°, d = 2.611 Å, I = 26; 49.00°, d = 1.859 Å, I = 22; 53.64°, d = 1.709 Å, I = 21

---

Structure and simulated X-ray powder pattern of LiFeF4 (DFT lattice parameters and positions (GGA+U); Cu Kα X-rays).
Peak positions follow from Bragg's law for the DFT cell and can differ from measured ones.

Structural model:
a = 5.2681 Å, b = 8.2003 Å, c = 9.0731 Å
α = 90.00°, β = 110.96°, γ = 90.00°
Fractional positions:
Li 0.1892 0.0488 0.1481
Li 0.1892 0.4512 0.6481
Li 0.8108 0.5488 0.3519
Li 0.8108 0.9512 0.8519
Fe 0.3570 0.6875 0.9503
Fe 0.3570 0.8125 0.4503
Fe 0.6430 0.1875 0.5497
Fe 0.6430 0.3125 0.0497
F 0.0766 0.6030 0.7818
F 0.0766 0.8970 0.2818
F 0.1962 0.6205 0.4903
F 0.1962 0.8795 0.9903
F 0.3373 0.2325 0.0772
F 0.3373 0.2675 0.5772
F 0.4652 0.5604 0.1342
F 0.4652 0.9396 0.6342
F 0.5348 0.0604 0.3658
F 0.5348 0.4396 0.8658
F 0.6627 0.7325 0.4228
F 0.6627 0.7675 0.9228
F 0.8038 0.1205 0.0097
F 0.8038 0.3795 0.5097
F 0.9234 0.1030 0.7182
F 0.9234 0.3970 0.2182

Peak list (10 most intense, 10 to 90 degrees two-theta, by angle)
15.04°, d = 5.892 Å, I = 18; 18.03°, d = 4.919 Å, I = 33; 20.44°, d = 4.346 Å, I = 51; 21.02°, d = 4.227 Å, I = 100; 22.26°, d = 3.993 Å, I = 35; 23.64°, d = 3.764 Å, I = 50; 27.87°, d = 3.201 Å, I = 21; 30.34°, d = 2.946 Å, I = 29; 34.29°, d = 2.615 Å, I = 18; 36.75°, d = 2.446 Å, I = 18

---

Structure and simulated X-ray powder pattern of Mg6TiNiO8 (DFT lattice parameters and positions (GGA+U); Cu Kα X-rays).
Peak positions follow from Bragg's law for the DFT cell and can differ from measured ones.

Structural model:
a = 4.2156 Å, b = 4.2156 Å, c = 8.8598 Å
α = 90.00°, β = 90.00°, γ = 90.00°
Fractional positions:
Mg 0.0000 0.0000 0.0000
Mg 0.0000 0.0000 0.5000
Mg 0.0000 0.5000 0.2363
Mg 0.0000 0.5000 0.7637
Mg 0.5000 0.0000 0.2363
Mg 0.5000 0.0000 0.7637
Ti 0.5000 0.5000 0.5000
Ni 0.5000 0.5000 0.0000
O 0.0000 0.0000 0.2509
O 0.0000 0.0000 0.7491
O 0.0000 0.5000 0.0000
O 0.0000 0.5000 0.5000
O 0.5000 0.0000 0.0000
O 0.5000 0.0000 0.5000
O 0.5000 0.5000 0.2753
O 0.5000 0.5000 0.7247

Peak list (10 most intense, 10 to 90 degrees two-theta, by angle)
20.04°, d = 4.430 Å, I = 10; 21.07°, d = 4.216 Å, I = 17; 29.24°, d = 3.054 Å, I = 15; 36.33°, d = 2.473 Å, I = 38; 40.74°, d = 2.215 Å, I = 55; 42.91°, d = 2.108 Å, I = 100; 60.65°, d = 1.527 Å, I = 58; 62.30°, d = 1.490 Å, I = 28; 74.30°, d = 1.277 Å, I = 12; 77.14°, d = 1.237 Å, I = 26